1.
Diffraction record for LaPm2Ho2Er2. The powder XRD pattern is simulated, not measured: it uses DFT lattice parameters and positions (GGA-PBE) and CuKα.
Intensities are scaled so that the largest is 100.

Unit cell a=12.054 b=12.054 c=12.054 alpha=163.13 beta=152.63 gamma=32.32
Element x y z (fractional)
La 0.000 0.000 0.000
Pm 0.410 0.910 0.500
Pm 0.590 0.090 0.500
Ho 0.274 0.274 0.000
Ho 0.726 0.726 0.000
Er 0.140 0.640 0.500
Er 0.860 0.360 0.500

Most intense lines, 2θ = 5–70°, low angle first:
2θ/deg  d (Å)  I (rel.)
27.74  3.215  28
31.26  2.861  66
31.37  2.851  43
33.60  2.668  100
42.37  2.133  18
50.45  1.809  23
55.78  1.648  13
57.28  1.608  22
60.62  1.527  27
61.68  1.504  32

=====

2.
Diffraction record for LiPmSi2Pt7. The powder XRD pattern is simulated, not measured: it uses DFT lattice parameters and positions (GGA-PBE) and CuKα.
Intensities are scaled so that the largest is 100.

Unit cell a=10.462 b=10.462 c=10.462 alpha=156.82 beta=156.82 gamma=33.01
Element x y z (fractional)
Li 0.000 0.000 0.000
Pm 0.250 0.750 0.500
Si 0.577 0.077 0.500
Si 0.923 0.423 0.500
Pt 0.041 0.541 0.500
Pt 0.141 0.141 0.000
Pt 0.360 0.360 0.000
Pt 0.459 0.959 0.500
Pt 0.640 0.640 0.000
Pt 0.750 0.250 0.500
Pt 0.859 0.859 0.000

Most intense lines, 2θ = 5–70°, low angle first:
2θ/deg  d (Å)  I (rel.)
25.02  3.559  10
30.81  2.902  8
35.10  2.557  100
38.00  2.368  10
40.61  2.221  29
43.04  2.102  46
45.20  2.006  14
57.19  1.611  8
62.50  1.486  15
64.18  1.451  19

=====

3.
Diffraction record for La12Co5Os. The powder XRD pattern is simulated, not measured: it uses DFT lattice parameters and positions (GGA-PBE) and CuKα.
Intensities are scaled so that the largest is 100.

Unit cell a=7.133 b=7.133 c=13.059 alpha=95.04 beta=95.04 gamma=120.13
Element x y z (fractional)
La 0.036 0.368 0.112
La 0.124 0.124 0.384
La 0.199 0.537 0.616
La 0.299 0.299 0.888
La 0.368 0.036 0.112
La 0.463 0.801 0.384
La 0.537 0.199 0.616
La 0.632 0.964 0.888
La 0.701 0.701 0.112
La 0.801 0.463 0.384
La 0.876 0.876 0.616
La 0.964 0.632 0.888
Co 0.000 0.000 0.000
Co 0.167 0.833 0.500
Co 0.334 0.666 0.000
Co 0.666 0.334 0.000
Co 0.833 0.167 0.500
Os 0.500 0.500 0.500

Most intense lines, 2θ = 5–70°, low angle first:
2θ/deg  d (Å)  I (rel.)
13.78  6.427  43
27.57  3.236  100
27.76  3.214  18
29.80  2.998  42
29.96  2.982  21
31.21  2.866  20
34.19  2.622  23
41.48  2.177  16
44.00  2.058  60
52.67  1.738  17